Entry 1:
The following is a simulated X-ray powder pattern of Ho3PaSb4. It was derived from a DFT-relaxed cell (GGA-PBE, Alexandria), using Cu Kα (weighted mean of Kα1 and Kα2).

The 10 most intense peaks (2θ = 10–80°), in order of rising 2θ:
hkl  Position (°2θ)  Rel. int.
2 2 0  24.98  7
2 0 1  28.92  100
4 0 0  41.36  76
4 2 1  48.92  4
4 4 0  51.25  27
4 0 2  59.92  13
6 0 1  67.86  23
2 8 1  67.93  12
6 4 1  75.40  22
0 8 2  75.47  4

Crystal structure
```
data_Ho3PaSb4
_chemical_formula_sum 'Ho6 Pa2 Sb8'
_symmetry_space_group_name_H-M 'C m m m'
_symmetry_Int_Tables_number 65
_symmetry_space_group_name_Hall '-C 2 2'
_cell_length_a 8.7416
_cell_length_b 12.3390
_cell_length_c 4.3659
_cell_angle_alpha 90.00
_cell_angle_beta 90.00
_cell_angle_gamma 90.00
loop_
_atom_site_label
_atom_site_type_symbol
_atom_site_fract_x
_atom_site_fract_y
_atom_site_fract_z
Ho1 Ho 0.0000 0.0000 0.0000
Ho2 Ho 0.2500 0.2500 0.5000
Pa1 Pa 0.0000 0.5000 0.0000
Sb1 Sb 0.0000 0.2503 0.0000
Sb2 Sb 0.2486 0.0000 0.5000
```

***

Entry 2:
The following is a simulated X-ray powder pattern of RbPaAs2S8. It was derived from a DFT-relaxed cell (GGA-PBE, Alexandria), using Cu Kα (weighted mean of Kα1 and Kα2).

The 10 most intense peaks (2θ = 10–80°), in order of rising 2θ:
hkl  Position (°2θ)  Rel. int.
1 0 0  16.16  32
0 1 1  18.37  67
1 0 2  23.83  100
1 1 0  28.18  46
2 -1 2  33.31  27
2 0 2  37.23  31
1 0 4  38.94  22
1 1 4  45.69  35
1 2 2  47.34  32
3 0 0  49.88  26

Crystal structure
```
data_RbPaAs2S8
_chemical_formula_sum 'Rb1 Pa1 As2 S8'
_symmetry_space_group_name_H-M 'P -3'
_symmetry_Int_Tables_number 147
_cell_length_a 6.3329
_cell_length_b 6.3329
_cell_length_c 10.1963
_cell_angle_alpha 90.00
_cell_angle_beta 90.00
_cell_angle_gamma 120.00
loop_
_symmetry_equiv_pos_as_xyz
'x,y,z'
'-x,-y,-z'
'-y,x-y,z'
'y,-x+y,-z'
'-x+y,-x,z'
'x-y,x,-z'
loop_
_atom_site_label
_atom_site_type_symbol
_atom_site_fract_x
_atom_site_fract_y
_atom_site_fract_z
Rb1 Rb 0.0000 0.0000 0.0000
Pa1 Pa 0.0000 0.0000 0.5000
As1 As 0.3333 0.6667 0.7261
S1 S 0.0060 0.6607 0.3485
S2 S 0.3333 0.6667 0.9316
```

***

Entry 3:
The following is a simulated X-ray powder pattern of Ta3Mo. It was derived from a DFT-relaxed cell (GGA-PBE, Alexandria), using Cu Kα (weighted mean of Kα1 and Kα2).

The 10 most intense peaks (2θ = 10–80°), in order of rising 2θ:
hkl  Position (°2θ)  Rel. int.
0 0 2  13.34  2
1 0 2  30.60  2
1 0 3  34.21  5
1 0 4  38.76  100
1 1 0  39.15  49
0 0 8  55.38  8
2 0 0  56.57  17
1 1 7  63.59  2
1 1 8  69.91  17
2 1 4  70.69  34

Crystal structure
```
data_Ta3Mo
_chemical_formula_sum 'Ta6 Mo2'
_symmetry_space_group_name_H-M 'P 4/n m m'
_symmetry_Int_Tables_number 129
_cell_length_a 3.2537
_cell_length_b 3.2537
_cell_length_c 13.2711
_cell_angle_alpha 90.00
_cell_angle_beta 90.00
_cell_angle_gamma 90.00
loop_
_symmetry_equiv_pos_as_xyz
'x,y,z'
'-x,-y,-z'
'-y+1/2,x,z'
'y+1/2,-x,-z'
'-x+1/2,-y+1/2,z'
'x+1/2,y+1/2,-z'
'y,-x+1/2,z'
'-y,x+1/2,-z'
'x+1/2,-y,-z'
'-x+1/2,y,z'
'-y,-x,-z'
'y,x,z'
'-x,y+1/2,-z'
'x,-y+1/2,z'
'y+1/2,x+1/2,-z'
'-y+1/2,-x+1/2,z'
loop_
_atom_site_label
_atom_site_type_symbol
_atom_site_fract_x
_atom_site_fract_y
_atom_site_fract_z
Ta1 Ta 0.2500 0.2500 0.0638
Ta2 Ta 0.2500 0.2500 0.3205
Ta3 Ta 0.2500 0.2500 0.8080
Mo1 Mo 0.2500 0.2500 0.5580
```

***

Entry 4:
The following is a simulated X-ray powder pattern of ErMgScTl. It was derived from a DFT-relaxed cell (GGA-PBE, Alexandria), using Cu Kα (weighted mean of Kα1 and Kα2).

The 9 most intense peaks (2θ = 10–80°), in order of rising 2θ:
hkl  Position (°2θ)  Rel. int.
1 1 1  21.03  54
2 2 0  34.68  100
3 1 1  40.91  30
4 0 0  49.85  18
3 3 1  54.68  13
4 2 2  62.15  37
5 1 1  66.39  10
4 4 0  73.17  11
5 3 1  77.12  10

Crystal structure
```
data_ErMgScTl
_chemical_formula_sum 'Er4 Mg4 Sc4 Tl4'
_symmetry_space_group_name_H-M 'F -4 3 m'
_symmetry_Int_Tables_number 216
_symmetry_space_group_name_Hall 'F -4 2 3'
_cell_length_a 7.3170
_cell_length_b 7.3170
_cell_length_c 7.3170
_cell_angle_alpha 90.00
_cell_angle_beta 90.00
_cell_angle_gamma 90.00
loop_
_atom_site_label
_atom_site_type_symbol
_atom_site_fract_x
_atom_site_fract_y
_atom_site_fract_z
Er1 Er 0.0000 0.0000 0.0000
Mg1 Mg 0.2500 0.2500 0.7500
Sc1 Sc 0.0000 0.0000 0.5000
Tl1 Tl 0.2500 0.2500 0.2500
```

***

Entry 5:
The following is a simulated X-ray powder pattern of Li2Ca2NdSi2. It was derived from a DFT-relaxed cell (GGA-PBE, Alexandria), using Cu Kα (weighted mean of Kα1 and Kα2).

The 10 most intense peaks (2θ = 10–80°), in order of rising 2θ:
hkl  Position (°2θ)  Rel. int.
1 0 1  23.14  100
0 1 2  23.69  24
1 0 4  25.76  20
1 0 7  30.79  72
0 1 8  32.84  71
1 0 10  37.36  27
0 1 11  39.79  20
1 1 0  40.33  55
1 1 3  41.32  18
1 1 9  48.67  18

Crystal structure
```
data_Li2Ca2NdSi2
_chemical_formula_sum 'Li6 Ca6 Nd3 Si6'
_symmetry_space_group_name_H-M 'R -3 m'
_symmetry_Int_Tables_number 166
_symmetry_space_group_name_Hall '-R 3 2"'
_cell_length_a 4.4728
_cell_length_b 4.4728
_cell_length_c 30.7211
_cell_angle_alpha 90.00
_cell_angle_beta 90.00
_cell_angle_gamma 120.00
loop_
_atom_site_label
_atom_site_type_symbol
_atom_site_fract_x
_atom_site_fract_y
_atom_site_fract_z
Li1 Li 0.0000 0.0000 0.1081
Ca1 Ca 0.0000 0.0000 0.3823
Nd1 Nd 0.0000 0.0000 0.5000
Si1 Si 0.0000 0.0000 0.2262
```

***

Entry 6:
The following is a simulated X-ray powder pattern of NaH4Pd. It was derived from a DFT-relaxed cell (GGA-PBE, Alexandria), using Cu Kα (weighted mean of Kα1 and Kα2).

The 10 most intense peaks (2θ = 10–80°), in order of rising 2θ:
hkl  Position (°2θ)  Rel. int.
0 2 0  14.39  28
0 2 1  22.75  77
1 1 0  25.23  52
0 4 0  29.01  36
1 1 1  30.89  69
0 4 1  34.10  23
0 0 2  35.48  33
1 3 1  37.31  100
1 1 2  44.04  20
0 6 2  57.92  25

Crystal structure
```
data_NaH4Pd
_chemical_formula_sum 'Na4 H16 Pd4'
_symmetry_space_group_name_H-M 'C m c m'
_symmetry_Int_Tables_number 63
_symmetry_space_group_name_Hall '-C 2c 2'
_cell_length_a 3.6839
_cell_length_b 12.3098
_cell_length_c 5.0601
_cell_angle_alpha 90.00
_cell_angle_beta 90.00
_cell_angle_gamma 90.00
loop_
_atom_site_label
_atom_site_type_symbol
_atom_site_fract_x
_atom_site_fract_y
_atom_site_fract_z
Na1 Na 0.0000 0.1241 0.2500
H1 H 0.0000 0.0977 0.7500
H2 H 0.0000 0.3059 0.0441
H3 H 0.0000 0.5000 0.0000
Pd1 Pd 0.0000 0.4048 0.2500
```